(1)
# ZnFe4O8
Calculated X-ray powder pattern, Cu Kα (λ = 1.5418 Å). Input: a crystal structure in the Materials Project, relaxed with GGA+U.

Largest 6 diffraction maxima, by angle, 10 to 90 degrees two-theta:
h k l, 2θ (°), Rel. int.
0 0 3, 17.8, 83
1 0 1, 18.4, 32
2 0 2, 37.3, 27
0 2 4, 42.9, 100
2 0 8, 61.4, 26
2 2 0, 63.2, 27

Atomic structure:
abc: 5.8818 5.8818 14.9846
angles: 90.00 90.00 120.00
Space group R-3m (No. 166, hexagonal axes)
Symmetry-distinct sites (fractional):
Zn1 0.0000 0.0000 0.0000 [3 per cell]
Fe1 0.0000 0.0000 0.5000 [3 per cell]
Fe2 0.0000 0.5000 0.5000 [9 per cell]
O1 0.0000 0.0000 0.2327 [6 per cell]
O2 0.0165 0.5082 0.7642 [18 per cell]


(2)
# Zn3Fe2O7
Calculated X-ray powder pattern, Cu Kα (λ = 1.5418 Å). Input: a crystal structure in the Materials Project, relaxed with GGA+U.

Largest 6 diffraction maxima, by angle, 10 to 90 degrees two-theta:
h k l, 2θ (°), Rel. int.
0 2 0, 33.8, 30
0 0 2, 34.3, 27
5 1 1, 34.6, 100
0 2 2, 48.9, 25
5 3 1, 60.9, 26
5 1 3, 61.7, 19

Atomic structure:
abc: 18.0864 5.3061 5.2233
angles: 90.00 90.00 90.00
Space group Cmc2_1 (No. 36)
Symmetry-distinct sites (fractional):
Zn1 0.0000 0.2423 0.0000 [4 per cell]
Zn2 0.1966 0.2761 0.9240 [8 per cell]
Fe1 0.1033 0.2479 0.4691 [8 per cell]
O1 0.0000 0.1357 0.3865 [4 per cell]
O2 0.0786 0.4156 0.7868 [8 per cell]
O3 0.1334 0.0748 0.1657 [8 per cell]
O4 0.2053 0.3585 0.5398 [8 per cell]


(3)
# ZnFeO2
Calculated X-ray powder pattern, Cu Kα (λ = 1.5418 Å). Input: a crystal structure in the Materials Project, relaxed with GGA+U.

Largest 6 diffraction maxima, by angle, 10 to 90 degrees two-theta:
h k l, 2θ (°), Rel. int.
0 0 2, 21.4, 65
0 2 2, 31.3, 76
1 0 -1, 34.1, 100
0 1 3, 34.5, 91
1 1 2, 34.7, 93
0 3 -1, 34.8, 58

Atomic structure:
abc: 3.0109 8.1883 8.4224
angles: 89.67 80.62 80.04
Space group P-1 (No. 2)
Symmetry-distinct sites (fractional):
Zn1 0.0890 0.2401 0.0888 [2 per cell]
Zn2 0.3632 0.5819 0.2524 [2 per cell]
Fe1 0.1891 0.9163 0.2346 [2 per cell]
Fe2 0.3797 0.2623 0.4136 [2 per cell]
O1 0.0564 0.5929 0.7325 [2 per cell]
O2 0.1711 0.2628 0.8616 [2 per cell]
O3 0.1778 0.7634 0.4299 [2 per cell]
O4 0.3920 0.9014 0.8008 [2 per cell]